Structure and theoretical X-ray diffraction stick pattern of CeCuW2O8 (a PBE+U-relaxed structure; Cu Kα (weighted mean of Kα1 and Kα2)).
Kinematic intensities with the Lorentz-polarization factor, no thermal factor.

```
12
Lattice="5.1415 0.0000 0.0000 -2.3021 5.6538 0.0000 -0.2709 -2.2556 5.9146" Properties=species:S:1:pos:R:3 pbc="T T T"
Ce 0.0000 0.0000 0.0000
Cu 2.4353 -1.1278 2.9573
W -0.0107 1.2590 3.9029
W 2.5792 2.1392 2.0117
O -1.6455 2.3899 3.9236
O -0.6630 -0.2974 4.5808
O 1.5925 0.5111 3.1087
O 1.9140 1.3253 0.5161
O 0.6544 2.0729 5.3985
O 0.9760 2.8871 2.8059
O 3.2315 3.6956 1.3338
O 4.2140 1.0083 1.9910
```

Most intense lines, 5° ≤ 2θ ≤ 70°, sorted by position:
Position (°2θ)  d (Å)  I (rel.)  (hkl)
18.10  4.902  46  0 1 -1
26.19  3.403  76  -1 1 1
26.35  3.383  100  1 0 1
29.26  3.053  57  1 1 -1
30.79  2.904  53  1 -2 1
33.94  2.641  45  0 2 0